1.
Diffraction record for InMo3Se3. The PXRD pattern is computed, not measured: it uses a PBE-relaxed structure and λ = 1.5418 Å (Cu Kα).

Crystal structure
```
data_InMo3Se3
_symmetry_space_group_name_H-M 'P 63/m'
_symmetry_Int_Tables_number 176
_symmetry_space_group_name_Hall '-P 6c'
_cell_length_a 9.7507
_cell_length_b 9.7507
_cell_length_c 4.5161
_cell_angle_alpha 90.00
_cell_angle_beta 90.00
_cell_angle_gamma 120.00
loop_
_atom_site_label
_atom_site_type_symbol
_atom_site_fract_x
_atom_site_fract_y
_atom_site_fract_z
In1 In 0.3333 0.6667 0.2500
Mo1 Mo 0.0189 0.8516 0.7500
Se1 Se 0.0393 0.7082 0.2500
```

Peak list (10 most intense, 10 to 90 degrees two-theta, sorted by position)
10.48 deg, I 100, hkl 1 0 0
22.32 deg, I 20, hkl 1 0 1
26.91 deg, I 12, hkl 1 1 1
27.96 deg, I 19, hkl 1 2 0
31.79 deg, I 12, hkl 3 0 0
34.41 deg, I 14, hkl 2 1 1
39.93 deg, I 20, hkl 0 0 2
42.12 deg, I 39, hkl 2 2 1
43.53 deg, I 43, hkl 1 3 1
51.32 deg, I 12, hkl 2 3 1

2.
Diffraction record for NaBC. The PXRD pattern is computed, not measured: it uses a PBE-relaxed structure and λ = 1.5418 Å (Cu Kα).

Crystal structure
```
data_NaBC
_symmetry_space_group_name_H-M 'P 63/m m c'
_symmetry_Int_Tables_number 194
_symmetry_space_group_name_Hall '-P 6c 2c'
_cell_length_a 2.8182
_cell_length_b 2.8182
_cell_length_c 8.3902
_cell_angle_alpha 90.00
_cell_angle_beta 90.00
_cell_angle_gamma 120.00
loop_
_atom_site_label
_atom_site_type_symbol
_atom_site_fract_x
_atom_site_fract_y
_atom_site_fract_z
Na1 Na 0.0000 0.0000 0.0000
B1 B 0.3333 0.6667 0.2500
C1 C 0.3333 0.6667 0.7500
```

Peak list (10 most intense, 10 to 90 degrees two-theta, sorted by position)
36.83 deg, I 17, hkl 1 0 0
42.87 deg, I 100, hkl 1 0 2
43.13 deg, I 26, hkl 0 0 4
57.97 deg, I 9, hkl 1 0 4
66.34 deg, I 17, hkl 1 1 0
70.50 deg, I 1, hkl 1 1 2
78.36 deg, I 2, hkl 2 0 0
78.90 deg, I 12, hkl 1 0 6
82.28 deg, I 11, hkl 2 0 2
82.46 deg, I 17, hkl 1 1 4

3.
Diffraction record for YMg14Bi. The PXRD pattern is computed, not measured: it uses a PBE-relaxed structure and λ = 1.5418 Å (Cu Kα).

Crystal structure
```
data_YMg14Bi
_symmetry_space_group_name_H-M 'P -6 m 2'
_symmetry_Int_Tables_number 187
_symmetry_space_group_name_Hall 'P -6 2'
_cell_length_a 6.5125
_cell_length_b 6.5125
_cell_length_c 10.5177
_cell_angle_alpha 90.00
_cell_angle_beta 90.00
_cell_angle_gamma 120.00
loop_
_atom_site_label
_atom_site_type_symbol
_atom_site_fract_x
_atom_site_fract_y
_atom_site_fract_z
Y1 Y 0.0000 0.0000 0.0000
Mg1 Mg 0.0063 0.5032 0.0000
Mg2 Mg 0.1682 0.3364 0.2494
Mg3 Mg 0.5018 0.0036 0.5000
Mg4 Mg 0.6667 0.3333 0.2450
Bi1 Bi 0.0000 0.0000 0.5000
```

Peak list (10 most intense, 10 to 90 degrees two-theta, sorted by position)
15.71 deg, I 65, hkl 1 0 0
17.85 deg, I 21, hkl 1 0 1
23.12 deg, I 56, hkl 1 0 2
31.73 deg, I 32, hkl 2 0 0
32.34 deg, I 24, hkl 1 1 2
34.10 deg, I 25, hkl 0 0 4
36.14 deg, I 100, hkl 2 0 2
37.74 deg, I 20, hkl 1 0 4
47.26 deg, I 21, hkl 2 0 4
62.37 deg, I 20, hkl 2 0 6

4.
Diffraction record for F. The PXRD pattern is computed, not measured: it uses a PBE-relaxed structure and λ = 1.5418 Å (Cu Kα).

Crystal structure
```
data_F
_symmetry_space_group_name_H-M 'C 1 2/c 1'
_symmetry_Int_Tables_number 15
_cell_length_a 6.103
_cell_length_b 3.655
_cell_length_c 6.888
_cell_angle_alpha 90.00
_cell_angle_beta 96.74
_cell_angle_gamma 90.00
loop_
_symmetry_equiv_pos_as_xyz
'x,y,z'
'-x,-y,-z'
'-x,y,-z+1/2'
'x,-y,z+1/2'
'x+1/2,y+1/2,z'
'-x+1/2,-y+1/2,-z'
'-x+1/2,y+1/2,-z+1/2'
'x+1/2,-y+1/2,z+1/2'
loop_
_atom_site_label
_atom_site_type_symbol
_atom_site_fract_x
_atom_site_fract_y
_atom_site_fract_z
F1 F 0.245 0.169 0.405
```

Peak list (10 most intense, 10 to 90 degrees two-theta, sorted by position)
26.05 deg, I 20, hkl 0 0 2
29.48 deg, I 100, hkl 2 0 0
30.68 deg, I 97, hkl 1 1 -1
32.16 deg, I 78, hkl 1 1 1
37.26 deg, I 9, hkl 2 0 -2
37.76 deg, I 19, hkl 1 1 -2
40.22 deg, I 16, hkl 1 1 2
52.08 deg, I 17, hkl 3 1 -1
54.96 deg, I 11, hkl 3 1 1
65.45 deg, I 8, hkl 0 2 3

Please write out number 1 again, unchanged.
Diffraction record for InMo3Se3. The PXRD pattern is computed, not measured: it uses a PBE-relaxed structure and λ = 1.5418 Å (Cu Kα).

Crystal structure
```
data_InMo3Se3
_symmetry_space_group_name_H-M 'P 63/m'
_symmetry_Int_Tables_number 176
_symmetry_space_group_name_Hall '-P 6c'
_cell_length_a 9.7507
_cell_length_b 9.7507
_cell_length_c 4.5161
_cell_angle_alpha 90.00
_cell_angle_beta 90.00
_cell_angle_gamma 120.00
loop_
_atom_site_label
_atom_site_type_symbol
_atom_site_fract_x
_atom_site_fract_y
_atom_site_fract_z
In1 In 0.3333 0.6667 0.2500
Mo1 Mo 0.0189 0.8516 0.7500
Se1 Se 0.0393 0.7082 0.2500
```

Peak list (10 most intense, 10 to 90 degrees two-theta, sorted by position)
10.48 deg, I 100, hkl 1 0 0
22.32 deg, I 20, hkl 1 0 1
26.91 deg, I 12, hkl 1 1 1
27.96 deg, I 19, hkl 1 2 0
31.79 deg, I 12, hkl 3 0 0
34.41 deg, I 14, hkl 2 1 1
39.93 deg, I 20, hkl 0 0 2
42.12 deg, I 39, hkl 2 2 1
43.53 deg, I 43, hkl 1 3 1
51.32 deg, I 12, hkl 2 3 1